Entry 1:
# Ce3Nd4UN8
Theoretical X-ray powder pattern, Cu Ka. Input: a structure optimized by DFT (GGA-PBE).
Peak positions follow from Bragg's law for the DFT cell and can differ from measured ones.

```
data_Ce3Nd4UN8
_chemical_formula_sum 'Ce9 Nd12 U3 N24'
_space_group_name_H-M_alt 'R -3 m'
_space_group_IT_number 166
_space_group_name_Hall '-R 3 2"'
_cell_length_a 7.1644
_cell_length_b 7.1644
_cell_length_c 17.5566
_cell_angle_alpha 90.00
_cell_angle_beta 90.00
_cell_angle_gamma 120.00
loop_
_atom_site_label
_atom_site_fract_x
_atom_site_fract_y
_atom_site_fract_z
_atom_site_occupancy
Ce1 0.0000 0.5000 0.0000 1
Nd1 0.0000 0.0000 0.5000 1
Nd2 0.0000 0.5000 0.5000 1
U1 0.0000 0.0000 0.0000 1
N1 0.0000 0.0000 0.2565 1
N2 0.0220 0.5110 0.7401 1
```

Top 8 peaks for 2θ = 10–90°, in order of falling intensity:
| h k l | Position (°2θ) | I/Imax |
| --- | --- | --- |
| 0 0 6 | 30.6 | 100.0 |
| 0 2 4 | 35.4 | 72.1 |
| 2 2 0 | 51.0 | 49.8 |
| 0 2 10 | 60.6 | 46.0 |
| 2 4 4 | 85.8 | 22.2 |
| 2 0 14 | 83.1 | 19.7 |
| 4 0 4 | 63.6 | 16.8 |
| 0 4 8 | 75.0 | 7.7 |

Entry 2:
# Ce5Np3N8
Theoretical X-ray powder pattern, Cu Ka. Input: a structure optimized by DFT (GGA-PBE).
Peak positions follow from Bragg's law for the DFT cell and can differ from measured ones.

```
data_Ce5Np3N8
_chemical_formula_sum 'Ce15 Np9 N24'
_space_group_name_H-M_alt 'R -3 m'
_space_group_IT_number 166
_space_group_name_Hall '-R 3 2"'
_cell_length_a 7.0444
_cell_length_b 7.0444
_cell_length_c 17.3150
_cell_angle_alpha 90.00
_cell_angle_beta 90.00
_cell_angle_gamma 120.00
loop_
_atom_site_label
_atom_site_fract_x
_atom_site_fract_y
_atom_site_fract_z
_atom_site_occupancy
Ce1 0.0000 0.0000 0.0000 1
Ce2 0.0000 0.0000 0.5000 1
Ce3 0.0000 0.5000 0.0000 1
Np1 0.0000 0.5000 0.5000 1
N1 0.0000 0.0000 0.2426 1
N2 0.0111 0.5055 0.7557 1
```

Top 8 peaks for 2θ = 10–90°, in order of falling intensity:
| h k l | Position (°2θ) | I/Imax |
| --- | --- | --- |
| 0 0 6 | 31.1 | 100.0 |
| 0 2 4 | 36.0 | 69.5 |
| 2 2 6 | 61.7 | 34.1 |
| 2 0 8 | 51.8 | 24.3 |
| 2 2 0 | 51.9 | 24.2 |
| 4 0 4 | 64.8 | 12.3 |
| 0 2 10 | 61.6 | 11.5 |
| 2 4 4 | 87.6 | 11.1 |

Entry 3:
# Ce4NpPa3N8
Theoretical X-ray powder pattern, Cu Ka. Input: a structure optimized by DFT (GGA-PBE).
Peak positions follow from Bragg's law for the DFT cell and can differ from measured ones.

```
data_Ce4NpPa3N8
_chemical_formula_sum 'Ce12 Np3 Pa9 N24'
_space_group_name_H-M_alt 'R -3 m'
_space_group_IT_number 166
_space_group_name_Hall '-R 3 2"'
_cell_length_a 7.0659
_cell_length_b 7.0659
_cell_length_c 17.2783
_cell_angle_alpha 90.00
_cell_angle_beta 90.00
_cell_angle_gamma 120.00
loop_
_atom_site_label
_atom_site_fract_x
_atom_site_fract_y
_atom_site_fract_z
_atom_site_occupancy
Ce1 0.0000 0.0000 0.0000 1
Ce2 0.0000 0.5000 0.0000 1
Np1 0.0000 0.0000 0.5000 1
Pa1 0.0000 0.5000 0.5000 1
N1 0.0000 0.0000 0.2419 1
N2 0.0027 0.5014 0.7576 1
```

Top 8 peaks for 2θ = 10–90°, in order of falling intensity:
| h k l | Position (°2θ) | I/Imax |
| --- | --- | --- |
| 0 0 6 | 31.0 | 100.0 |
| 0 2 4 | 36.0 | 68.5 |
| 2 2 0 | 51.8 | 47.9 |
| 0 2 10 | 61.6 | 45.9 |
| 4 0 10 | 84.6 | 14.8 |
| 4 0 4 | 64.6 | 12.3 |
| 2 4 4 | 87.3 | 11.1 |
| 2 2 12 | 87.4 | 10.9 |